Diffraction record for NdIn3Pt. The powder diffraction line list is calculated, not measured: it uses the PBE geometry in Alexandria and Cu Kα, 1.54184 Å.

Cell and atoms:
a = 9.8534 Å, b = 9.8534 Å, c = 9.8534 Å
α = 90.00°, β = 90.00°, γ = 90.00°
Fractional coordinates of all 40 atoms:
Nd1 0.0000 0.0000 0.0000
Nd2 0.0000 0.2500 0.5000
Nd3 0.0000 0.7500 0.5000
Nd4 0.2500 0.5000 0.0000
Nd5 0.5000 0.0000 0.2500
Nd6 0.5000 0.0000 0.7500
Nd7 0.5000 0.5000 0.5000
Nd8 0.7500 0.5000 0.0000
In1 0.0000 0.3176 0.1521
In2 0.0000 0.3176 0.8479
In3 0.0000 0.6824 0.1521
In4 0.0000 0.6824 0.8479
In5 0.1521 0.0000 0.3176
In6 0.1521 0.0000 0.6824
In7 0.1824 0.5000 0.3479
In8 0.1824 0.5000 0.6521
In9 0.3176 0.1521 0.0000
In10 0.3176 0.8479 0.0000
In11 0.3479 0.1824 0.5000
In12 0.3479 0.8176 0.5000
In13 0.5000 0.3479 0.1824
In14 0.5000 0.3479 0.8176
In15 0.5000 0.6521 0.1824
In16 0.5000 0.6521 0.8176
In17 0.6521 0.1824 0.5000
In18 0.6521 0.8176 0.5000
In19 0.6824 0.1521 0.0000
In20 0.6824 0.8479 0.0000
In21 0.8176 0.5000 0.3479
In22 0.8176 0.5000 0.6521
In23 0.8479 0.0000 0.3176
In24 0.8479 0.0000 0.6824
Pt1 0.2500 0.2500 0.2500
Pt2 0.2500 0.2500 0.7500
Pt3 0.2500 0.7500 0.2500
Pt4 0.2500 0.7500 0.7500
Pt5 0.7500 0.2500 0.2500
Pt6 0.7500 0.2500 0.7500
Pt7 0.7500 0.7500 0.2500
Pt8 0.7500 0.7500 0.7500

Principal peaks in the range 10° ≤ 2θ ≤ 80°, in order of rising 2θ:
4.927 Å, I 22.0; 2.844 Å, I 18.9; 2.733 Å, I 100.0; 2.633 Å, I 46.6; 2.463 Å, I 33.4; 2.203 Å, I 31.6; 2.011 Å, I 48.9; 1.485 Å, I 26.2